For Co2Ni14H9, the PBE geometry in Alexandria gives the computed PXRD pattern in this record (Cu Ka).
Lines closer than 0.1° are merged.

Cell and atoms:
Cell: 6.3890 6.3890 5.7812 Å, 90.00 90.00 120.00°
Space group P-3 (No. 147)
Unique sites:
Co: 0.3333 0.6667 0.2471 (multiplicity 2)
Ni: 0.0000 0.0000 0.2725 (multiplicity 2)
Ni: 0.0757 0.6914 0.9269 (multiplicity 6)
Ni: 0.1054 0.4184 0.5928 (multiplicity 6)
H: 0.0000 0.0000 0.0000 (multiplicity 1)
H: 0.0095 0.7419 0.6550 (multiplicity 6)
H: 0.3333 0.6667 0.9426 (multiplicity 2)

Peak list (6 most intense, 2θ = 5–70°, by angle)
d_spacing, I (rel.)
2.496, 30
2.143, 100
2.091, 16
1.967, 86
1.844, 26
1.820, 20

---

For CoNiH3, the PBE geometry in Alexandria gives the computed PXRD pattern in this record (Cu Ka).
Lines closer than 0.1° are merged.

Cell and atoms:
Cell: 8.012 7.532 4.004 Å, 90.00 90.00 90.00°
Space group Cmcm (No. 63)
Unique sites:
Co: 0.000 0.097 0.250 (multiplicity 4)
Co: 0.000 0.363 0.750 (multiplicity 4)
Ni: 0.247 0.375 0.250 (multiplicity 8)
H: 0.121 0.231 0.006 (multiplicity 16)
H: 0.123 0.500 0.000 (multiplicity 8)

Peak list (6 most intense, 2θ = 5–70°, by angle)
d_spacing, I (rel.)
2.396, 1
2.263, 100
2.003, 33
1.883, 12
1.416, 11
1.372, 16

---

For Co2Ni9H, the PBE geometry in Alexandria gives the computed PXRD pattern in this record (Cu Ka).
Lines closer than 0.1° are merged.

Cell and atoms:
Cell: 3.505 3.505 10.250 Å, 90.00 90.00 90.00°
Space group P4/mmm (No. 123)
Unique sites:
Co: 0.000 0.000 0.176 (multiplicity 2)
Ni: 0.000 0.500 0.000 (multiplicity 2)
Ni: 0.000 0.500 0.344 (multiplicity 4)
Ni: 0.500 0.500 0.170 (multiplicity 2)
Ni: 0.500 0.500 0.500 (multiplicity 1)
H: 0.000 0.000 0.500 (multiplicity 1)

Peak list (6 most intense, 2θ = 5–70°, by angle)
d_spacing, I (rel.)
10.250, 4
3.317, 3
2.231, 3
2.006, 100
1.753, 32
1.708, 14

---

For NpCo2NiH8, the PBE geometry in Alexandria gives the computed PXRD pattern in this record (Cu Ka).
Lines closer than 0.1° are merged.

Cell and atoms:
Cell: 4.3758 4.3758 15.7244 Å, 90.00 90.00 120.00°
Space group R-3 (No. 148, hexagonal axes)
Unique sites:
Np: 0.0000 0.0000 0.0000 (multiplicity 3)
Co: 0.0000 0.0000 0.2014 (multiplicity 6)
Ni: 0.0000 0.0000 0.5000 (multiplicity 3)
H: 0.0000 0.0000 0.3048 (multiplicity 6)
H: 0.0192 0.7180 0.1202 (multiplicity 18)

Peak list (6 most intense, 2θ = 5–70°, by angle)
d_spacing, I (rel.)
3.684, 76
3.414, 57
2.728, 100
2.420, 51
2.188, 82
1.680, 45

---

For ThCoNiH6, the PBE geometry in Alexandria gives the computed PXRD pattern in this record (Cu Ka).
Lines closer than 0.1° are merged.

Cell and atoms:
Cell: 4.4531 4.4531 4.1607 Å, 90.00 90.00 120.00°
Space group P-6m2 (No. 187)
Unique sites:
Th: 0.0000 0.0000 0.0000 (multiplicity 1)
Co: 0.6667 0.3333 0.5000 (multiplicity 1)
Ni: 0.3333 0.6667 0.5000 (multiplicity 1)
H: 0.5040 0.0080 0.2518 (multiplicity 6)

Peak list (6 most intense, 2θ = 5–70°, by angle)
d_spacing, I (rel.)
3.856, 31
2.828, 100
2.227, 38
1.749, 25
1.520, 23
1.376, 22

---

Repeat the second record exactly.
For CoNiH3, the PBE geometry in Alexandria gives the computed PXRD pattern in this record (Cu Ka).
Lines closer than 0.1° are merged.

Cell and atoms:
Cell: 8.012 7.532 4.004 Å, 90.00 90.00 90.00°
Space group Cmcm (No. 63)
Unique sites:
Co: 0.000 0.097 0.250 (multiplicity 4)
Co: 0.000 0.363 0.750 (multiplicity 4)
Ni: 0.247 0.375 0.250 (multiplicity 8)
H: 0.121 0.231 0.006 (multiplicity 16)
H: 0.123 0.500 0.000 (multiplicity 8)

Peak list (6 most intense, 2θ = 5–70°, by angle)
d_spacing, I (rel.)
2.396, 1
2.263, 100
2.003, 33
1.883, 12
1.416, 11
1.372, 16

---

What did the first record say?
For Co2Ni14H9, the PBE geometry in Alexandria gives the computed PXRD pattern in this record (Cu Ka).
Lines closer than 0.1° are merged.

Cell and atoms:
Cell: 6.3890 6.3890 5.7812 Å, 90.00 90.00 120.00°
Space group P-3 (No. 147)
Unique sites:
Co: 0.3333 0.6667 0.2471 (multiplicity 2)
Ni: 0.0000 0.0000 0.2725 (multiplicity 2)
Ni: 0.0757 0.6914 0.9269 (multiplicity 6)
Ni: 0.1054 0.4184 0.5928 (multiplicity 6)
H: 0.0000 0.0000 0.0000 (multiplicity 1)
H: 0.0095 0.7419 0.6550 (multiplicity 6)
H: 0.3333 0.6667 0.9426 (multiplicity 2)

Peak list (6 most intense, 2θ = 5–70°, by angle)
d_spacing, I (rel.)
2.496, 30
2.143, 100
2.091, 16
1.967, 86
1.844, 26
1.820, 20

---

- Number 3 is which compound?
  Co2Ni9H